Diffraction record for LuI3O11. The powder diffraction line list is computed, not measured: it uses DFT lattice parameters and positions (GGA-PBE) and λ = 1.5418 Å (Cu Kα).
No peak broadening, texture or thermal motion is included.

The 10 most intense peaks (10 to 80 degrees two-theta), by angle:
12.49 deg, I = 35, hkl 0 1 0
16.62 deg, I = 78, hkl 1 1 1
26.20 deg, I = 65, hkl 2 0 0
27.18 deg, I = 30, hkl -1 1 2
28.22 deg, I = 100, hkl 0 2 -1
28.80 deg, I = 59, hkl 0 0 3
29.28 deg, I = 40, hkl 0 2 2
32.41 deg, I = 26, hkl 2 -1 0
33.44 deg, I = 27, hkl 2 2 -1
33.62 deg, I = 27, hkl 2 2 2

Structure:
```
data_LuI3O11
_chemical_formula_sum 'Lu2 I6 O22'
_symmetry_space_group_name_H-M 'P -1'
_symmetry_Int_Tables_number 2
_symmetry_space_group_name_Hall '-P 1'
_cell_length_a 7.1503
_cell_length_b 7.5325
_cell_length_c 9.4379
_cell_angle_alpha 80.34
_cell_angle_beta 85.41
_cell_angle_gamma 72.16
loop_
_atom_site_label
_atom_site_type_symbol
_atom_site_fract_x
_atom_site_fract_y
_atom_site_fract_z
Lu1 Lu 0.2379 0.1487 0.1685
I1 I 0.1716 0.7554 0.4823
I2 I 0.2343 0.9026 0.8593
I3 I 0.3979 0.3484 0.8031
O1 O 0.0902 0.9845 0.3525
O2 O 0.1006 0.7307 0.8586
O3 O 0.1450 0.4722 0.1834
O4 O 0.1996 0.9217 0.0527
O5 O 0.2155 0.2882 0.9391
O6 O 0.2328 0.4390 0.6539
O7 O 0.2613 0.2000 0.3970
O8 O 0.3261 0.6078 0.3549
O9 O 0.3423 0.8160 0.5823
O10 O 0.4861 0.7406 0.8803
O11 O 0.4935 0.0994 0.7724
```